Diffraction record for Li5Ni6P8O28. The XRD peak list is computed, not measured: it uses a cell relaxed with PBE+U and CuKα.

Structural model:
```
data_Li5Ni6P8O28
_chemical_formula_sum 'Li5 Ni6 P8 O28'
_symmetry_space_group_name_H-M 'P -1'
_symmetry_Int_Tables_number 2
_symmetry_space_group_name_Hall '-P 1'
_cell_length_a 6.335
_cell_length_b 8.403
_cell_length_c 10.058
_cell_angle_alpha 107.81
_cell_angle_beta 90.46
_cell_angle_gamma 92.73
loop_
_atom_site_label
_atom_site_type_symbol
_atom_site_fract_x
_atom_site_fract_y
_atom_site_fract_z
Li1 Li 0.000 0.000 0.000
Li2 Li 0.405 0.892 0.377
Li3 Li 0.481 0.335 0.891
Ni1 Ni 0.000 0.000 0.500
Ni2 Ni 0.144 0.617 0.439
Ni3 Ni 0.193 0.612 0.859
Ni4 Ni 0.500 0.000 0.000
P1 P 0.024 0.744 0.180
P2 P 0.235 0.959 0.759
P3 P 0.312 0.322 0.190
P4 P 0.348 0.294 0.484
O1 O 0.041 0.077 0.831
O2 O 0.106 0.790 0.334
O3 O 0.114 0.424 0.240
O4 O 0.157 0.863 0.609
O5 O 0.173 0.422 0.530
O6 O 0.175 0.371 0.849
O7 O 0.199 0.690 0.075
O8 O 0.242 0.849 0.856
O9 O 0.255 0.149 0.092
O10 O 0.277 0.114 0.474
O11 O 0.421 0.300 0.332
O12 O 0.427 0.077 0.769
O13 O 0.455 0.661 0.422
O14 O 0.483 0.416 0.131
```

Main lines, in order of rising 2θ (2θ = 10–90°):
2theta	I (rel.)
14.00	43
18.79	73
23.03	34
26.12	58
27.96	100
29.58	57
30.95	80
31.70	35
32.12	35
33.09	45
33.31	39
33.65	51

Diffraction record for LiNiPO4. The XRD peak list is computed, not measured: it uses a cell relaxed with PBE+U and CuKα.

Structural model:
```
data_LiNiPO4
_chemical_formula_sum 'Li4 Ni4 P4 O16'
_symmetry_space_group_name_H-M 'P n a 21'
_symmetry_Int_Tables_number 33
_symmetry_space_group_name_Hall 'P 2c -2n'
_cell_length_a 10.992
_cell_length_b 6.292
_cell_length_c 5.017
_cell_angle_alpha 90.00
_cell_angle_beta 90.00
_cell_angle_gamma 90.00
loop_
_atom_site_label
_atom_site_type_symbol
_atom_site_fract_x
_atom_site_fract_y
_atom_site_fract_z
Li1 Li 0.167 0.014 0.000
Ni1 Ni 0.081 0.280 0.493
P1 P 0.175 0.516 0.003
O1 O 0.094 0.714 0.940
O2 O 0.119 0.312 0.876
O3 O 0.182 0.488 0.308
O4 O 0.195 0.050 0.391
```

Main lines, in order of rising 2θ (2θ = 10–90°):
2theta	I (rel.)
16.23	42
21.47	65
22.67	100
24.08	29
27.95	23
32.58	16
32.80	43
35.80	37
37.31	21
37.50	28
58.28	20
65.45	14

Diffraction record for LiNiP2O7. The XRD peak list is computed, not measured: it uses a cell relaxed with PBE+U and CuKα.

Structural model:
```
data_LiNiP2O7
_chemical_formula_sum 'Li2 Ni2 P4 O14'
_symmetry_space_group_name_H-M 'P 1'
_symmetry_Int_Tables_number 1
_symmetry_space_group_name_Hall 'P 1'
_cell_length_a 5.033
_cell_length_b 6.827
_cell_length_c 8.392
_cell_angle_alpha 67.61
_cell_angle_beta 87.90
_cell_angle_gamma 87.74
loop_
_atom_site_label
_atom_site_type_symbol
_atom_site_fract_x
_atom_site_fract_y
_atom_site_fract_z
Li1 Li 0.000 0.000 0.000
Li2 Li 0.493 0.650 0.564
Ni1 Ni 0.461 0.041 0.281
Ni2 Ni 0.974 0.607 0.831
P1 P 0.455 0.950 0.730
P2 P 0.498 0.280 0.870
P3 P 0.933 0.377 0.249
P4 P 0.983 0.714 0.391
O1 O 0.039 0.543 0.082
O2 O 0.109 0.176 0.322
O3 O 0.172 0.891 0.804
O4 O 0.281 0.749 0.357
O5 O 0.341 0.489 0.787
O6 O 0.363 0.115 0.028
O7 O 0.489 0.951 0.549
O8 O 0.500 0.187 0.715
O9 O 0.648 0.313 0.240
O10 O 0.662 0.805 0.852
O11 O 0.792 0.310 0.895
O12 O 0.815 0.878 0.250
O13 O 0.885 0.685 0.573
O14 O 0.928 0.480 0.392
```

Main lines, in order of rising 2θ (2θ = 10–90°):
2theta	I (rel.)
14.34	40
22.30	36
22.92	100
31.10	18
32.03	11
32.31	10
35.72	15
36.11	9
38.78	13
39.92	8
43.31	13
46.85	8

Diffraction record for LiNi2P3O12. The XRD peak list is computed, not measured: it uses a cell relaxed with PBE+U and CuKα.

Structural model:
```
data_LiNi2P3O12
_chemical_formula_sum 'Li4 Ni8 P12 O48'
_symmetry_space_group_name_H-M 'C 1 2/c 1'
_symmetry_Int_Tables_number 15
_symmetry_space_group_name_Hall '-C 2yc'
_cell_length_a 12.131
_cell_length_b 12.566
_cell_length_c 6.505
_cell_angle_alpha 90.00
_cell_angle_beta 113.74
_cell_angle_gamma 90.00
loop_
_atom_site_label
_atom_site_type_symbol
_atom_site_fract_x
_atom_site_fract_y
_atom_site_fract_z
Li1 Li 0.000 0.000 0.000
Ni1 Ni 0.219 0.339 0.135
P1 P 0.000 0.211 0.750
P2 P 0.246 0.397 0.647
O1 O 0.047 0.289 0.953
O2 O 0.095 0.137 0.721
O3 O 0.121 0.069 0.284
O4 O 0.178 0.497 0.115
O5 O 0.194 0.334 0.423
O6 O 0.237 0.325 0.832
```

Main lines, in order of rising 2θ (2θ = 10–90°):
2theta	I (rel.)
14.10	23
15.47	37
15.96	100
25.08	11
25.37	13
28.41	11
28.63	40
30.85	15
32.24	42
32.75	23
43.54	11
46.31	13

Repeat the third record exactly.
Diffraction record for LiNiP2O7. The XRD peak list is computed, not measured: it uses a cell relaxed with PBE+U and CuKα.

Structural model:
```
data_LiNiP2O7
_chemical_formula_sum 'Li2 Ni2 P4 O14'
_symmetry_space_group_name_H-M 'P 1'
_symmetry_Int_Tables_number 1
_symmetry_space_group_name_Hall 'P 1'
_cell_length_a 5.033
_cell_length_b 6.827
_cell_length_c 8.392
_cell_angle_alpha 67.61
_cell_angle_beta 87.90
_cell_angle_gamma 87.74
loop_
_atom_site_label
_atom_site_type_symbol
_atom_site_fract_x
_atom_site_fract_y
_atom_site_fract_z
Li1 Li 0.000 0.000 0.000
Li2 Li 0.493 0.650 0.564
Ni1 Ni 0.461 0.041 0.281
Ni2 Ni 0.974 0.607 0.831
P1 P 0.455 0.950 0.730
P2 P 0.498 0.280 0.870
P3 P 0.933 0.377 0.249
P4 P 0.983 0.714 0.391
O1 O 0.039 0.543 0.082
O2 O 0.109 0.176 0.322
O3 O 0.172 0.891 0.804
O4 O 0.281 0.749 0.357
O5 O 0.341 0.489 0.787
O6 O 0.363 0.115 0.028
O7 O 0.489 0.951 0.549
O8 O 0.500 0.187 0.715
O9 O 0.648 0.313 0.240
O10 O 0.662 0.805 0.852
O11 O 0.792 0.310 0.895
O12 O 0.815 0.878 0.250
O13 O 0.885 0.685 0.573
O14 O 0.928 0.480 0.392
```

Main lines, in order of rising 2θ (2θ = 10–90°):
2theta	I (rel.)
14.34	40
22.30	36
22.92	100
31.10	18
32.03	11
32.31	10
35.72	15
36.11	9
38.78	13
39.92	8
43.31	13
46.85	8

Copy entry 2 word for word.
Diffraction record for LiNiPO4. The XRD peak list is computed, not measured: it uses a cell relaxed with PBE+U and CuKα.

Structural model:
```
data_LiNiPO4
_chemical_formula_sum 'Li4 Ni4 P4 O16'
_symmetry_space_group_name_H-M 'P n a 21'
_symmetry_Int_Tables_number 33
_symmetry_space_group_name_Hall 'P 2c -2n'
_cell_length_a 10.992
_cell_length_b 6.292
_cell_length_c 5.017
_cell_angle_alpha 90.00
_cell_angle_beta 90.00
_cell_angle_gamma 90.00
loop_
_atom_site_label
_atom_site_type_symbol
_atom_site_fract_x
_atom_site_fract_y
_atom_site_fract_z
Li1 Li 0.167 0.014 0.000
Ni1 Ni 0.081 0.280 0.493
P1 P 0.175 0.516 0.003
O1 O 0.094 0.714 0.940
O2 O 0.119 0.312 0.876
O3 O 0.182 0.488 0.308
O4 O 0.195 0.050 0.391
```

Main lines, in order of rising 2θ (2θ = 10–90°):
2theta	I (rel.)
16.23	42
21.47	65
22.67	100
24.08	29
27.95	23
32.58	16
32.80	43
35.80	37
37.31	21
37.50	28
58.28	20
65.45	14